# BaNi9P5
Computed powder diffractogram, Cu Ka. Input: the GGA-PBE geometry in Alexandria.

Main lines, in order of rising 2θ (2θ from 10° to 90°):
h k l	d (Å)	two_theta	I_rel
2 0 0	2.826	31.66	61
1 1 2	2.801	31.95	73
2 0 2	2.510	35.78	100
1 0 4	2.457	36.58	61
2 0 4	1.963	46.25	39
2 1 3	1.842	49.48	47
2 1 4	1.682	54.56	77
2 2 0	1.632	56.38	41

Crystal structure
Unit cell a=6.527 b=6.527 c=10.911 alpha=90.00 beta=90.00 gamma=120.00
Sites, in units of the cell vectors:
Ba (0.000, 0.000, 0.000)
Ba (0.000, 0.000, 0.500)
Ni (0.072, 0.536, 0.107)
Ni (0.072, 0.536, 0.393)
Ni (0.203, 0.406, 0.750)
Ni (0.203, 0.797, 0.750)
Ni (0.406, 0.203, 0.250)
Ni (0.464, 0.536, 0.107)
Ni (0.464, 0.536, 0.393)
Ni (0.464, 0.928, 0.107)
Ni (0.464, 0.928, 0.393)
Ni (0.536, 0.072, 0.607)
Ni (0.536, 0.072, 0.893)
Ni (0.536, 0.464, 0.607)
Ni (0.536, 0.464, 0.893)
Ni (0.594, 0.797, 0.750)
Ni (0.797, 0.203, 0.250)
Ni (0.797, 0.594, 0.250)
Ni (0.928, 0.464, 0.607)
Ni (0.928, 0.464, 0.893)
P (0.176, 0.352, 0.250)
P (0.176, 0.824, 0.250)
P (0.333, 0.667, 0.562)
P (0.333, 0.667, 0.938)
P (0.352, 0.176, 0.750)
P (0.648, 0.824, 0.250)
P (0.667, 0.333, 0.062)
P (0.667, 0.333, 0.438)
P (0.824, 0.176, 0.750)
P (0.824, 0.648, 0.750)